Record 1
Simulated powder XRD pattern
Compound: AcBi2Au2
Radiation: Cu Ka
Structure: a crystal structure in Alexandria, relaxed with PBE

Peak list (12 most intense, 10 to 80 degrees two-theta, by angle)
d 3.699, rel. 12
d 3.280, rel. 13
d 2.811, rel. 100
d 2.625, rel. 32
d 2.610, rel. 14
d 2.465, rel. 42
d 2.412, rel. 59
d 1.797, rel. 21
d 1.485, rel. 12
d 1.481, rel. 15
d 1.413, rel. 11
d 1.405, rel. 11

Atomic structure:
```
AcBi2Au2
1.0
5.385 0.000 0.000
0.000 4.930 0.000
-2.551 0.000 11.193
Ac Bi Au
2 4 4
Direct
0.159 0.250 0.314 Ac
0.841 0.750 0.686 Ac
0.261 0.250 0.987 Bi
0.309 0.250 0.661 Bi
0.691 0.750 0.339 Bi
0.739 0.750 0.013 Bi
0.267 0.750 0.134 Au
0.280 0.750 0.513 Au
0.720 0.250 0.487 Au
0.733 0.250 0.866 Au
```



Record 2
Simulated powder XRD pattern
Compound: Ac2InBiAu6
Radiation: Cu Ka
Structure: a crystal structure in Alexandria, relaxed with PBE

Peak list (12 most intense, 10 to 80 degrees two-theta, by angle)
d 5.297, rel. 11
d 3.746, rel. 18
d 3.058, rel. 87
d 2.648, rel. 100
d 2.369, rel. 6
d 2.162, rel. 8
d 1.873, rel. 73
d 1.597, rel. 39
d 1.529, rel. 25
d 1.416, rel. 4
d 1.324, rel. 12
d 1.215, rel. 16

Atomic structure:
```
Ac2InBiAu6
1.0
0.000 5.297 5.297
5.297 0.000 5.297
5.297 5.297 0.000
Ac In Bi Au
2 1 1 6
Direct
0.250 0.250 0.250 Ac
0.750 0.750 0.750 Ac
0.000 0.000 0.000 In
0.500 0.500 0.500 Bi
0.245 0.245 0.755 Au
0.245 0.755 0.245 Au
0.245 0.755 0.755 Au
0.755 0.245 0.245 Au
0.755 0.245 0.755 Au
0.755 0.755 0.245 Au
```